No. 1
Simulated powder XRD pattern of La2Pm5Sm3 for Cu Kα (weighted mean of Kα1 and Kα2), from DFT lattice parameters and positions (PBE).
Neutral-atom scattering factors, no anomalous dispersion.

Top 10 peaks for 10 to 80 degrees two-theta, low angle first:
d/Å	I (rel.)
3.075	94
2.901	100
2.805	20
2.757	47
2.660	17
2.530	22
1.870	20
1.618	18
1.548	22
1.495	26

Atomic structure:
```
data_La2Pm5Sm3
_cell_length_a 10.1686
_cell_length_b 10.1686
_cell_length_c 9.2606
_cell_angle_alpha 108.84
_cell_angle_beta 108.84
_cell_angle_gamma 114.31
_symmetry_space_group_name_H-M 'P 1'
_symmetry_Int_Tables_number 1
loop_
_symmetry_equiv_pos_as_xyz
'x,y,z'
loop_
_atom_site_label
_atom_site_type_symbol
_atom_site_fract_x
_atom_site_fract_y
_atom_site_fract_z
_atom_site_occupancy
La1 La 0.0251 0.2758 0.0497 1
La2 La 0.2758 0.0251 0.5497 1
La3 La 0.7242 0.9749 0.4503 1
La4 La 0.9749 0.7242 0.9503 1
Pm1 Pm 0.0256 0.9744 0.7500 1
Pm2 Pm 0.1234 0.3765 0.7487 1
Pm3 Pm 0.2199 0.7801 0.7500 1
Pm4 Pm 0.3765 0.1234 0.2487 1
Pm5 Pm 0.4710 0.5290 0.2500 1
Pm6 Pm 0.5290 0.4710 0.7500 1
Pm7 Pm 0.6235 0.8766 0.7513 1
Pm8 Pm 0.7801 0.2199 0.2500 1
Pm9 Pm 0.8766 0.6235 0.2513 1
Pm10 Pm 0.9744 0.0256 0.2500 1
Sm1 Sm 0.2341 0.4852 0.4681 1
Sm2 Sm 0.2765 0.7235 0.2500 1
Sm3 Sm 0.4852 0.2341 0.9681 1
Sm4 Sm 0.5148 0.7659 0.0319 1
Sm5 Sm 0.7235 0.2765 0.7500 1
Sm6 Sm 0.7659 0.5148 0.5319 1
```

No. 2
Simulated powder XRD pattern of NdHo5Th2 for Cu Kα (weighted mean of Kα1 and Kα2), from DFT lattice parameters and positions (PBE).
Neutral-atom scattering factors, no anomalous dispersion.

Top 10 peaks for 10 to 80 degrees two-theta, low angle first:
d/Å	I (rel.)
2.996	20
2.907	54
2.847	100
2.794	42
2.753	39
2.560	20
2.358	18
1.961	25
1.597	21
1.498	29

Atomic structure:
```
data_NdHo5Th2
_cell_length_a 3.5229
_cell_length_b 11.1774
_cell_length_c 13.2352
_cell_angle_alpha 90.00
_cell_angle_beta 90.00
_cell_angle_gamma 90.00
_symmetry_space_group_name_H-M 'P 1'
_symmetry_Int_Tables_number 1
loop_
_symmetry_equiv_pos_as_xyz
'x,y,z'
loop_
_atom_site_label
_atom_site_type_symbol
_atom_site_fract_x
_atom_site_fract_y
_atom_site_fract_z
_atom_site_occupancy
Nd1 Nd 0.0000 0.0000 0.0000 1
Nd2 Nd 0.5000 0.5000 0.5000 1
Ho1 Ho 0.0000 0.2287 0.3685 1
Ho2 Ho 0.0000 0.2287 0.6315 1
Ho3 Ho 0.0000 0.5000 0.0000 1
Ho4 Ho 0.0000 0.7713 0.3685 1
Ho5 Ho 0.0000 0.7713 0.6315 1
Ho6 Ho 0.5000 0.0000 0.5000 1
Ho7 Ho 0.5000 0.2713 0.1315 1
Ho8 Ho 0.5000 0.2713 0.8685 1
Ho9 Ho 0.5000 0.7287 0.1315 1
Ho10 Ho 0.5000 0.7287 0.8685 1
Th1 Th 0.0000 0.5000 0.2609 1
Th2 Th 0.0000 0.5000 0.7391 1
Th3 Th 0.5000 0.0000 0.2391 1
Th4 Th 0.5000 0.0000 0.7609 1
```

No. 3
Simulated powder XRD pattern of Pm4PrSm5 for Cu Kα (weighted mean of Kα1 and Kα2), from DFT lattice parameters and positions (PBE).
Neutral-atom scattering factors, no anomalous dispersion.

Top 10 peaks for 10 to 80 degrees two-theta, low angle first:
d/Å	I (rel.)
3.419	20
3.161	20
3.109	41
3.028	17
2.979	66
2.828	100
2.698	21
2.569	53
2.559	40
1.812	24

Atomic structure:
```
data_Pm4PrSm5
_cell_length_a 3.6244
_cell_length_b 9.3288
_cell_length_c 11.0619
_cell_angle_alpha 77.57
_cell_angle_beta 89.97
_cell_angle_gamma 79.02
_symmetry_space_group_name_H-M 'P 1'
_symmetry_Int_Tables_number 1
loop_
_symmetry_equiv_pos_as_xyz
'x,y,z'
loop_
_atom_site_label
_atom_site_type_symbol
_atom_site_fract_x
_atom_site_fract_y
_atom_site_fract_z
_atom_site_occupancy
Pm1 Pm 0.0209 0.4567 0.2622 1
Pm2 Pm 0.3278 0.8536 0.7758 1
Pm3 Pm 0.6722 0.1464 0.2242 1
Pm4 Pm 0.9791 0.5433 0.7378 1
Pr1 Pr 0.5000 0.5000 0.0000 1
Sm1 Sm 0.1618 0.1732 0.9129 1
Sm2 Sm 0.1670 0.1623 0.5256 1
Sm3 Sm 0.5000 0.5000 0.5000 1
Sm4 Sm 0.8330 0.8377 0.4744 1
Sm5 Sm 0.8382 0.8268 0.0871 1
```

No. 4
Simulated powder XRD pattern of Cs2ZnFeC6N6 for Cu Kα (weighted mean of Kα1 and Kα2), from DFT lattice parameters and positions (PBE).
Neutral-atom scattering factors, no anomalous dispersion.

Top 10 peaks for 10 to 80 degrees two-theta, low angle first:
d/Å	I (rel.)
3.693	100
3.015	18
2.611	37
2.336	5
2.132	36
1.847	21
1.652	25
1.508	6
1.396	24
1.231	11

Atomic structure:
```
data_Cs2ZnFeC6N6
_cell_length_a 7.3862
_cell_length_b 7.3862
_cell_length_c 7.3862
_cell_angle_alpha 60.00
_cell_angle_beta 60.00
_cell_angle_gamma 60.00
_symmetry_space_group_name_H-M 'P 1'
_symmetry_Int_Tables_number 1
loop_
_symmetry_equiv_pos_as_xyz
'x,y,z'
loop_
_atom_site_label
_atom_site_type_symbol
_atom_site_fract_x
_atom_site_fract_y
_atom_site_fract_z
_atom_site_occupancy
Cs1 Cs 0.2500 0.2500 0.2500 1
Cs2 Cs 0.7500 0.7500 0.7500 1
Zn1 Zn 0.0000 0.0000 0.0000 1
Fe1 Fe 0.5000 0.5000 0.5000 1
C1 C 0.3197 0.3197 0.6803 1
C2 C 0.3197 0.6803 0.3197 1
C3 C 0.3197 0.6803 0.6803 1
C4 C 0.6803 0.3197 0.3197 1
C5 C 0.6803 0.3197 0.6803 1
C6 C 0.6803 0.6803 0.3197 1
N1 N 0.2067 0.2067 0.7933 1
N2 N 0.2067 0.7933 0.2067 1
N3 N 0.2067 0.7933 0.7933 1
N4 N 0.7933 0.2067 0.2067 1
N5 N 0.7933 0.2067 0.7933 1
N6 N 0.7933 0.7933 0.2067 1
```

No. 5
Simulated powder XRD pattern of Ho3In4Hg2 for Cu Kα (weighted mean of Kα1 and Kα2), from DFT lattice parameters and positions (PBE).
Neutral-atom scattering factors, no anomalous dispersion.

Top 10 peaks for 10 to 80 degrees two-theta, low angle first:
d/Å	I (rel.)
2.749	12
2.732	100
2.724	24
2.476	74
2.456	37
1.832	11
1.825	20
1.466	14
1.439	20
1.422	13

Atomic structure:
```
data_Ho3In4Hg2
_cell_length_a 6.1144
_cell_length_b 6.1144
_cell_length_c 9.2778
_cell_angle_alpha 115.58
_cell_angle_beta 115.58
_cell_angle_gamma 47.37
_symmetry_space_group_name_H-M 'P 1'
_symmetry_Int_Tables_number 1
loop_
_symmetry_equiv_pos_as_xyz
'x,y,z'
loop_
_atom_site_label
_atom_site_type_symbol
_atom_site_fract_x
_atom_site_fract_y
_atom_site_fract_z
_atom_site_occupancy
Ho1 Ho 0.0000 0.0000 0.0000 1
Ho2 Ho 0.3311 0.3311 0.3377 1
Ho3 Ho 0.6689 0.6689 0.6623 1
In1 In 0.0350 0.0350 0.3677 1
In2 In 0.2805 0.2805 0.9435 1
In3 In 0.7195 0.7195 0.0565 1
In4 In 0.9650 0.9650 0.6323 1
Hg1 Hg 0.3679 0.3679 0.6987 1
Hg2 Hg 0.6321 0.6321 0.3013 1
```

No. 6
Simulated powder XRD pattern of TmAsS3 for Cu Kα (weighted mean of Kα1 and Kα2), from DFT lattice parameters and positions (PBE).
Neutral-atom scattering factors, no anomalous dispersion.

Top 10 peaks for 10 to 80 degrees two-theta, low angle first:
d/Å	I (rel.)
6.586	60
3.736	100
3.296	85
3.249	30
2.948	66
2.472	37
2.330	68
1.978	37
1.903	54
1.828	65

Atomic structure:
```
data_TmAsS3
_cell_length_a 7.6071
_cell_length_b 7.6071
_cell_length_c 7.6071
_cell_angle_alpha 51.36
_cell_angle_beta 51.36
_cell_angle_gamma 51.36
_symmetry_space_group_name_H-M 'P 1'
_symmetry_Int_Tables_number 1
loop_
_symmetry_equiv_pos_as_xyz
'x,y,z'
loop_
_atom_site_label
_atom_site_type_symbol
_atom_site_fract_x
_atom_site_fract_y
_atom_site_fract_z
_atom_site_occupancy
Tm1 Tm 0.1600 0.1600 0.1600 1
Tm2 Tm 0.8400 0.8400 0.8400 1
As1 As 0.3792 0.3792 0.3792 1
As2 As 0.6208 0.6208 0.6208 1
S1 S 0.0871 0.4359 0.7440 1
S2 S 0.2560 0.9129 0.5641 1
S3 S 0.4359 0.7440 0.0871 1
S4 S 0.5641 0.2560 0.9129 1
S5 S 0.7440 0.0871 0.4359 1
S6 S 0.9129 0.5641 0.2560 1
```

Please write out number 6 again, unchanged.
Simulated powder XRD pattern of TmAsS3 for Cu Kα (weighted mean of Kα1 and Kα2), from DFT lattice parameters and positions (PBE).
Neutral-atom scattering factors, no anomalous dispersion.

Top 10 peaks for 10 to 80 degrees two-theta, low angle first:
d/Å	I (rel.)
6.586	60
3.736	100
3.296	85
3.249	30
2.948	66
2.472	37
2.330	68
1.978	37
1.903	54
1.828	65

Atomic structure:
```
data_TmAsS3
_cell_length_a 7.6071
_cell_length_b 7.6071
_cell_length_c 7.6071
_cell_angle_alpha 51.36
_cell_angle_beta 51.36
_cell_angle_gamma 51.36
_symmetry_space_group_name_H-M 'P 1'
_symmetry_Int_Tables_number 1
loop_
_symmetry_equiv_pos_as_xyz
'x,y,z'
loop_
_atom_site_label
_atom_site_type_symbol
_atom_site_fract_x
_atom_site_fract_y
_atom_site_fract_z
_atom_site_occupancy
Tm1 Tm 0.1600 0.1600 0.1600 1
Tm2 Tm 0.8400 0.8400 0.8400 1
As1 As 0.3792 0.3792 0.3792 1
As2 As 0.6208 0.6208 0.6208 1
S1 S 0.0871 0.4359 0.7440 1
S2 S 0.2560 0.9129 0.5641 1
S3 S 0.4359 0.7440 0.0871 1
S4 S 0.5641 0.2560 0.9129 1
S5 S 0.7440 0.0871 0.4359 1
S6 S 0.9129 0.5641 0.2560 1
```